No. 1
Starting from the PBE geometry in Alexandria, the X-ray diffraction stick pattern of LiFeI3 was computed for Cu Kα, 1.54184 Å.
Lines closer than 0.1° are merged.

Largest 10 diffraction maxima, in order of rising 2θ, 10 to 80 degrees two-theta:
- 2θ = 12.92°, I = 189
- 2θ = 13.82°, I = 286
- 2θ = 25.07°, I = 707
- 2θ = 26.52°, I = 1000
- 2θ = 27.40°, I = 501
- 2θ = 35.75°, I = 212
- 2θ = 41.09°, I = 325
- 2θ = 45.04°, I = 292
- 2θ = 48.73°, I = 253
- 2θ = 51.23°, I = 174

Structural model:
Unit cell a=4.262 b=25.635 c=7.109 alpha=90.00 beta=90.00 gamma=90.00
Space group Ama2 (No. 40)
Unique sites:
Li  0.250  0.183  0.000 [4 per cell]
Fe  0.250  0.370  0.940 [4 per cell]
I  0.250  0.079  0.313 [4 per cell]
I  0.250  0.279  0.767 [4 per cell]
I  0.250  0.373  0.306 [4 per cell]

=====

No. 2
Starting from the PBE geometry in Alexandria, the X-ray diffraction stick pattern of NaSrTb2S4 was computed for Cu Kα, 1.54184 Å.
Lines closer than 0.1° are merged.

Largest 10 diffraction maxima, in order of rising 2θ, 10 to 80 degrees two-theta:
- 2θ = 13.03°, I = 396
- 2θ = 26.05°, I = 192
- 2θ = 26.24°, I = 142
- 2θ = 27.12°, I = 256
- 2θ = 27.22°, I = 127
- 2θ = 31.19°, I = 1000
- 2θ = 44.10°, I = 366
- 2θ = 45.15°, I = 117
- 2θ = 45.33°, I = 231
- 2θ = 55.92°, I = 121

Structural model:
Unit cell a=6.921 b=4.016 c=7.177 alpha=90.00 beta=108.81 gamma=90.00
Space group P2/m (No. 10)
Unique sites:
Na  0.000  0.000  0.000 [1 per cell]
Sr  0.500  0.500  0.000 [1 per cell]
Tb  0.000  0.500  0.500 [1 per cell]
Tb  0.500  0.000  0.500 [1 per cell]
S  0.241  0.000  0.731 [2 per cell]
S  0.255  0.500  0.271 [2 per cell]

=====

No. 3
Starting from the PBE geometry in Alexandria, the X-ray diffraction stick pattern of Ac3FeB2N6 was computed for Cu Kα, 1.54184 Å.
Lines closer than 0.1° are merged.

Largest 10 diffraction maxima, in order of rising 2θ, 10 to 80 degrees two-theta:
- 2θ = 22.97°, I = 1000
- 2θ = 32.19°, I = 720
- 2θ = 33.22°, I = 667
- 2θ = 39.91°, I = 363
- 2θ = 46.93°, I = 316
- 2θ = 52.17°, I = 254
- 2θ = 53.57°, I = 243
- 2θ = 57.39°, I = 143
- 2θ = 58.05°, I = 269
- 2θ = 77.18°, I = 125

Structural model:
Unit cell a=5.5622 b=5.5622 c=6.5087 alpha=90.00 beta=90.00 gamma=120.00
Space group P-3m1 (No. 164)
Unique sites:
Ac  0.0000  0.0000  0.0000 [1 per cell]
Ac  0.3333  0.6667  0.6752 [2 per cell]
Fe  0.0000  0.0000  0.5000 [1 per cell]
B  0.3333  0.6667  0.2716 [2 per cell]
N  0.1805  0.3610  0.2923 [6 per cell]

=====

No. 4
Starting from the PBE geometry in Alexandria, the X-ray diffraction stick pattern of SbN2 was computed for Cu Kα, 1.54184 Å.
Lines closer than 0.1° are merged.

Largest 10 diffraction maxima, in order of rising 2θ, 10 to 80 degrees two-theta:
- 2θ = 18.49°, I = 1000
- 2θ = 27.90°, I = 202
- 2θ = 31.33°, I = 282
- 2θ = 33.04°, I = 242
- 2θ = 33.33°, I = 242
- 2θ = 34.54°, I = 528
- 2θ = 36.91°, I = 167
- 2θ = 38.27°, I = 154
- 2θ = 39.81°, I = 130
- 2θ = 43.90°, I = 177

Structural model:
Unit cell a=3.043 b=3.291 c=9.647 alpha=84.01 beta=87.28 gamma=62.47
Space group P1 (No. 1)
Unique sites:
Sb  0.000  0.000  0.000 [1 per cell]
N  0.490  0.502  0.561 [1 per cell]
N  0.507  0.505  0.446 [1 per cell]

=====

No. 5
Starting from the PBE geometry in Alexandria, the X-ray diffraction stick pattern of RbAs2HSe was computed for Cu Kα, 1.54184 Å.
Lines closer than 0.1° are merged.

Largest 9 diffraction maxima, in order of rising 2θ, 10 to 80 degrees two-theta:
- 2θ = 33.25°, I = 1000
- 2θ = 34.56°, I = 229
- 2θ = 40.47°, I = 293
- 2θ = 54.25°, I = 245
- 2θ = 58.57°, I = 97
- 2θ = 61.10°, I = 169
- 2θ = 69.04°, I = 234
- 2θ = 69.82°, I = 114
- 2θ = 72.89°, I = 25

Structural model:
Unit cell a=4.458 b=4.458 c=5.191 alpha=90.00 beta=90.00 gamma=90.00
Space group P4/mmm (No. 123)
Unique sites:
Rb  0.000  0.000  0.000 [1 per cell]
As  0.000  0.500  0.500 [2 per cell]
H  0.500  0.500  0.500 [1 per cell]
Se  0.500  0.500  0.000 [1 per cell]

=====

No. 6
Starting from the PBE geometry in Alexandria, the X-ray diffraction stick pattern of Li2Tc was computed for Cu Kα, 1.54184 Å.
Lines closer than 0.1° are merged.

Largest 10 diffraction maxima, in order of rising 2θ, 10 to 80 degrees two-theta:
- 2θ = 10.95°, I = 1000
- 2θ = 21.99°, I = 141
- 2θ = 23.41°, I = 38
- 2θ = 30.33°, I = 66
- 2θ = 39.45°, I = 87
- 2θ = 40.35°, I = 173
- 2θ = 41.97°, I = 54
- 2θ = 43.48°, I = 218
- 2θ = 49.23°, I = 52
- 2θ = 49.85°, I = 48

Structural model:
Unit cell a=2.651 b=16.167 c=4.305 alpha=90.00 beta=90.00 gamma=90.00
Space group Cmcm (No. 63)
Unique sites:
Li  0.000  0.062  0.250 [4 per cell]
Li  0.000  0.377  0.250 [4 per cell]
Tc  0.000  0.275  0.750 [4 per cell]

=====

No. 7
Starting from the PBE geometry in Alexandria, the X-ray diffraction stick pattern of ZnCo5 was computed for Cu Kα, 1.54184 Å.
Lines closer than 0.1° are merged.

Largest 10 diffraction maxima, in order of rising 2θ, 10 to 80 degrees two-theta:
- 2θ = 35.13°, I = 8
- 2θ = 41.25°, I = 257
- 2θ = 41.42°, I = 118
- 2θ = 44.27°, I = 408
- 2θ = 47.09°, I = 1000
- 2θ = 47.25°, I = 501
- 2θ = 62.10°, I = 140
- 2θ = 62.23°, I = 65
- 2θ = 75.08°, I = 75
- 2θ = 75.43°, I = 145

Structural model:
Unit cell a=4.092 b=2.530 c=13.079 alpha=90.00 beta=90.00 gamma=90.00
Space group Amm2 (No. 38)
Unique sites:
Zn  0.000  0.000  0.000 [2 per cell]
Co  0.000  0.000  0.330 [2 per cell]
Co  0.000  0.000  0.671 [2 per cell]
Co  0.500  0.000  0.114 [2 per cell]
Co  0.500  0.000  0.441 [2 per cell]
Co  0.500  0.000  0.777 [2 per cell]

=====

No. 8
Starting from the PBE geometry in Alexandria, the X-ray diffraction stick pattern of Sn5Pb2Au3 was computed for Cu Kα, 1.54184 Å.
Lines closer than 0.1° are merged.

Largest 10 diffraction maxima, in order of rising 2θ, 10 to 80 degrees two-theta:
- 2θ = 21.37°, I = 158
- 2θ = 30.79°, I = 187
- 2θ = 31.25°, I = 699
- 2θ = 31.98°, I = 1000
- 2θ = 32.33°, I = 316
- 2θ = 33.68°, I = 289
- 2θ = 40.10°, I = 454
- 2θ = 41.31°, I = 203
- 2θ = 41.65°, I = 228
- 2θ = 52.42°, I = 166

Structural model:
Unit cell a=4.497 b=29.692 c=7.668 alpha=90.00 beta=90.00 gamma=90.00
Space group Cmc2_1 (No. 36)
Unique sites:
Sn  0.000  0.052  0.000 [4 per cell]
Sn  0.000  0.122  0.363 [4 per cell]
Sn  0.000  0.293  0.690 [4 per cell]
Sn  0.000  0.295  0.121 [4 per cell]
Sn  0.000  0.401  0.214 [4 per cell]
Pb  0.000  0.168  0.917 [4 per cell]
Pb  0.000  0.475  0.837 [4 per cell]
Au  0.000  0.042  0.616 [4 per cell]
Au  0.000  0.229  0.407 [4 per cell]
Au  0.000  0.390  0.609 [4 per cell]

=====

No. 9
Starting from the PBE geometry in Alexandria, the X-ray diffraction stick pattern of SeI was computed for Cu Kα, 1.54184 Å.
Lines closer than 0.1° are merged.

Largest 10 diffraction maxima, in order of rising 2θ, 10 to 80 degrees two-theta:
- 2θ = 12.48°, I = 625
- 2θ = 16.63°, I = 1000
- 2θ = 20.47°, I = 519
- 2θ = 21.88°, I = 430
- 2θ = 23.10°, I = 573
- 2θ = 24.74°, I = 301
- 2θ = 27.28°, I = 292
- 2θ = 28.74°, I = 408
- 2θ = 33.14°, I = 449
- 2θ = 33.27°, I = 329

Structural model:
Unit cell a=8.350 b=9.499 c=10.662 alpha=90.00 beta=90.00 gamma=90.00
Space group P2_12_12_1 (No. 19)
Unique sites:
Se  0.121  0.233  0.090 [4 per cell]
Se  0.212  0.734  0.758 [4 per cell]
I  0.032  0.964  0.778 [4 per cell]
I  0.150  0.639  0.319 [4 per cell]

=====

No. 10
Starting from the PBE geometry in Alexandria, the X-ray diffraction stick pattern of Pr2DyErTm5 was computed for Cu Kα, 1.54184 Å.
Lines closer than 0.1° are merged.

Largest 10 diffraction maxima, in order of rising 2θ, 10 to 80 degrees two-theta:
- 2θ = 28.94°, I = 415
- 2θ = 29.50°, I = 536
- 2θ = 30.99°, I = 1000
- 2θ = 33.07°, I = 109
- 2θ = 38.33°, I = 133
- 2θ = 40.54°, I = 136
- 2θ = 46.50°, I = 112
- 2θ = 53.27°, I = 254
- 2θ = 56.02°, I = 170
- 2θ = 56.57°, I = 118

Structural model:
Unit cell a=8.565 b=8.565 c=15.623 alpha=90.00 beta=90.00 gamma=90.00
Space group I4/mcm (No. 140)
Unique sites:
Pr  0.118  0.382  0.000 [8 per cell]
Dy  0.000  0.000  0.250 [4 per cell]
Er  0.000  0.500  0.250 [4 per cell]
Tm  0.000  0.000  0.000 [4 per cell]
Tm  0.214  0.286  0.358 [16 per cell]

=====

No. 11
Starting from the PBE geometry in Alexandria, the X-ray diffraction stick pattern of Ba3Li4Ag4 was computed for Cu Kα, 1.54184 Å.
Lines closer than 0.1° are merged.

Largest 10 diffraction maxima, in order of rising 2θ, 10 to 80 degrees two-theta:
- 2θ = 21.84°, I = 400
- 2θ = 25.04°, I = 363
- 2θ = 29.54°, I = 1000
- 2θ = 31.07°, I = 981
- 2θ = 38.16°, I = 260
- 2θ = 40.38°, I = 222
- 2θ = 43.47°, I = 240
- 2θ = 44.57°, I = 230
- 2θ = 49.07°, I = 216
- 2θ = 59.21°, I = 182

Structural model:
Unit cell a=4.716 b=8.134 c=16.243 alpha=90.00 beta=90.00 gamma=90.00
Space group Immm (No. 71)
Unique sites:
Ba  0.000  0.000  0.000 [2 per cell]
Ba  0.000  0.500  0.128 [4 per cell]
Li  0.000  0.313  0.323 [8 per cell]
Ag  0.000  0.000  0.214 [4 per cell]
Ag  0.000  0.183  0.500 [4 per cell]

=====

No. 12
Starting from the PBE geometry in Alexandria, the X-ray diffraction stick pattern of CsIn2Br4 was computed for Cu Kα, 1.54184 Å.
Lines closer than 0.1° are merged.

Largest 10 diffraction maxima, in order of rising 2θ, 10 to 80 degrees two-theta:
- 2θ = 12.64°, I = 456
- 2θ = 16.04°, I = 451
- 2θ = 23.42°, I = 417
- 2θ = 27.54°, I = 798
- 2θ = 28.40°, I = 411
- 2θ = 28.86°, I = 500
- 2θ = 30.39°, I = 621
- 2θ = 30.60°, I = 1000
- 2θ = 31.30°, I = 551
- 2θ = 32.26°, I = 652

Structural model:
Unit cell a=8.760 b=9.126 c=9.375 alpha=114.76 beta=107.44 gamma=103.64
Space group P1 (No. 1)
Unique sites:
Cs  0.000  0.000  0.000 [1 per cell]
Cs  0.439  0.759  0.228 [1 per cell]
In  0.201  0.833  0.605 [1 per cell]
In  0.346  0.403  0.667 [1 per cell]
In  0.716  0.371  0.097 [1 per cell]
In  0.718  0.378  0.591 [1 per cell]
Br  0.073  0.472  0.249 [1 per cell]
Br  0.099  0.576  0.792 [1 per cell]
Br  0.201  0.015  0.400 [1 per cell]
Br  0.359  0.282  0.953 [1 per cell]
Br  0.675  0.130  0.195 [1 per cell]
Br  0.680  0.125  0.783 [1 per cell]
Br  0.742  0.621  0.011 [1 per cell]
Br  0.763  0.628  0.426 [1 per cell]